[1]
Starting from a structure optimized by DFT (PBE), the PXRD pattern of Sb2TeH was calculated for Cu Kα (λ = 1.5418 Å).

Most intense lines, 15 to 90 degrees two-theta, by angle:
d (Å)  two_theta  Rel. int.
3.370  26.4  85
3.068  29.1  42
2.671  33.6  100
2.176  41.5  16
2.020  44.9  14
2.011  45.1  27
1.541  60.0  18
1.379  68.0  15

Crystal structure
```
Sb2TeH
1.0
-3.086 3.086 5.303
3.086 -3.086 5.303
3.086 3.086 -5.303
Sb Te H
4 2 2
Direct
0.003 0.625 0.878
0.375 0.253 0.378
0.747 0.125 0.122
0.875 0.997 0.622
0.250 0.750 0.500
0.500 0.500 0.000
0.000 0.000 0.000
0.750 0.250 0.500
```



[2]
Starting from a structure optimized by DFT (PBE), the PXRD pattern of Y2ZrP3 was calculated for Cu Kα (λ = 1.5418 Å).

Most intense lines, 15 to 90 degrees two-theta, by angle:
d (Å)  two_theta  Rel. int.
3.196  27.9  69
2.772  32.3  96
2.761  32.4  47
1.957  46.4  100
1.671  55.0  21
1.598  57.7  34
1.239  77.0  29
1.131  86.0  22

Crystal structure
```
Y2ZrP3
1.0
-1.960 1.960 8.283
1.960 -1.960 8.283
1.960 1.960 -8.283
Y Zr P
2 1 3
Direct
0.167 0.167 0.000
0.833 0.833 0.000
0.500 0.500 0.000
0.000 0.000 0.000
0.338 0.338 0.000
0.662 0.662 0.000
```



[3]
Starting from a structure optimized by DFT (PBE), the PXRD pattern of AcNd8Y6 was calculated for Cu Kα (λ = 1.5418 Å).

Most intense lines, 15 to 90 degrees two-theta, by angle:
d (Å)  two_theta  Rel. int.
3.437  25.9  18
2.953  30.3  100
2.899  30.8  23
2.771  32.3  27
2.645  33.9  46
1.779  51.3  24
1.580  58.4  18
1.524  60.8  12

Crystal structure
```
AcNd8Y6
1.0
4.708 2.718 6.873
-4.708 2.718 6.873
0.000 -5.436 6.873
Ac Nd Y
1 8 6
Direct
0.000 0.000 0.000
0.086 0.773 0.664
0.227 0.336 0.914
0.336 0.914 0.227
0.427 0.427 0.427
0.573 0.573 0.573
0.664 0.086 0.773
0.773 0.664 0.086
0.914 0.227 0.336
0.107 0.546 0.265
0.265 0.107 0.546
0.454 0.735 0.893
0.546 0.265 0.107
0.735 0.893 0.454
0.893 0.454 0.735
```



[4]
Starting from a structure optimized by DFT (PBE), the PXRD pattern of Tb9Y11Er4 was calculated for Cu Kα (λ = 1.5418 Å).

Most intense lines, 15 to 90 degrees two-theta, by angle:
d (Å)  two_theta  Rel. int.
2.969  30.1  26
2.959  30.2  80
2.882  31.0  26
2.766  32.4  100
2.759  32.5  74
2.715  33.0  19
1.840  49.6  21
1.562  59.1  26

Crystal structure
```
Tb9Y11Er4
1.0
8.340 -12.601 0.000
8.340 12.601 0.000
0.000 0.000 3.679
Tb Y Er
9 11 4
Direct
0.000 0.000 0.000
0.131 0.665 0.000
0.285 0.430 0.000
0.335 0.869 0.000
0.430 0.285 0.000
0.570 0.715 0.000
0.665 0.131 0.000
0.715 0.570 0.000
0.869 0.335 0.000
0.093 0.455 0.500
0.132 0.868 0.500
0.207 0.207 0.500
0.340 0.660 0.500
0.455 0.093 0.500
0.500 0.500 0.500
0.545 0.907 0.500
0.660 0.340 0.500
0.793 0.793 0.500
0.868 0.132 0.500
0.907 0.545 0.500
0.054 0.256 0.000
0.256 0.054 0.000
0.744 0.946 0.000
0.946 0.744 0.000
```



[5]
Starting from a structure optimized by DFT (PBE), the PXRD pattern of Ca4Pm was calculated for Cu Kα (λ = 1.5418 Å).

Most intense lines, 15 to 90 degrees two-theta, by angle:
d (Å)  two_theta  Rel. int.
4.217  21.1  98
2.999  29.8  99
2.965  30.1  100
2.752  32.5  39
2.108  42.9  35
1.738  52.7  21
1.719  53.3  24
1.716  53.4  18

Crystal structure
```
Ca4Pm
1.0
5.144 -2.960 0.000
5.144 2.960 0.000
-0.007 0.000 7.389
Ca Pm
4 1
Direct
0.166 0.166 0.154
0.167 0.167 0.635
0.833 0.833 0.365
0.834 0.834 0.846
0.500 0.500 0.500
```



[6]
Starting from a structure optimized by DFT (PBE), the PXRD pattern of CdHPt3 was calculated for Cu Kα (λ = 1.5418 Å).

Most intense lines, 15 to 90 degrees two-theta, by angle:
d (Å)  two_theta  Rel. int.
2.687  33.3  34
2.466  36.4  93
2.194  41.1  75
2.068  43.8  100
1.900  47.9  34
1.313  71.9  27
1.267  75.0  58
1.241  76.8  21

Crystal structure
```
CdHPt3
1.0
0.000 5.374 5.374
5.374 0.000 5.374
5.374 5.374 0.000
Cd H Pt
4 4 12
Direct
0.000 0.000 0.000
0.000 0.000 0.500
0.000 0.500 0.000
0.500 0.000 0.000
0.000 0.500 0.500
0.500 0.000 0.500
0.500 0.500 0.000
0.500 0.500 0.500
0.186 0.186 0.564
0.186 0.564 0.186
0.186 0.564 0.564
0.436 0.436 0.814
0.436 0.814 0.436
0.436 0.814 0.814
0.564 0.186 0.186
0.564 0.186 0.564
0.564 0.564 0.186
0.814 0.436 0.436
0.814 0.436 0.814
0.814 0.814 0.436
```